Sm2GaSnGe: simulated powder diffractogram (Cu Ka), based on a structure optimized by DFT (GGA-PBE).

Main lines, in order of rising 2θ (5 to 70 degrees two-theta):
- 2θ 27.82, d 3.207, intensity 164, hkl 2 0 0
- 2θ 32.08, d 2.790, intensity 1000, hkl 1 1 -2
- 2θ 34.48, d 2.601, intensity 156, hkl 2 0 -2
- 2θ 36.33, d 2.473, intensity 316, hkl 2 1 1
- 2θ 40.57, d 2.223, intensity 152, hkl 0 0 4
- 2θ 41.83, d 2.160, intensity 199, hkl 0 2 0

Crystal structure
a b c (Å): 6.414 4.319 8.894
angles (deg): 90.00 90.15 90.00
Fractional positions:
Sm: 0.244 0.250 0.468
Sm: 0.246 0.250 0.032
Sm: 0.754 0.750 0.968
Sm: 0.756 0.750 0.532
Ga: 0.450 0.750 0.251
Ga: 0.550 0.250 0.749
Sn: 0.269 0.750 0.750
Sn: 0.731 0.250 0.250
Ge: 0.056 0.750 0.249
Ge: 0.944 0.250 0.751